# 1
# SrIn2Se4
Computed powder diffraction line list, Cu Kα X-rays. Input: a cell relaxed with PBE.
Neutral-atom scattering factors, no anomalous dispersion.

Structure:
```
SrIn2Se4
1.0
0.000 11.179 11.200
6.849 0.000 11.200
6.849 11.179 0.000
Sr In Se
8 16 32
direct
0.122 0.628 0.122 Sr
0.125 0.125 0.125 Sr
0.372 0.878 0.372 Sr
0.375 0.375 0.375 Sr
0.625 0.625 0.625 Sr
0.628 0.122 0.628 Sr
0.875 0.875 0.875 Sr
0.878 0.372 0.878 Sr
0.033 0.858 0.466 In
0.113 0.364 0.386 In
0.142 0.967 0.857 In
0.143 0.466 0.858 In
0.363 0.614 0.636 In
0.364 0.113 0.637 In
0.386 0.637 0.113 In
0.466 0.143 0.033 In
0.534 0.857 0.967 In
0.614 0.363 0.887 In
0.636 0.887 0.363 In
0.637 0.386 0.364 In
0.857 0.534 0.142 In
0.858 0.033 0.143 In
0.887 0.636 0.614 In
0.967 0.142 0.534 In
0.089 0.411 0.091 Se
0.091 0.409 0.588 Se
0.091 0.909 0.089 Se
0.091 0.909 0.589 Se
0.147 0.668 0.851 Se
0.149 0.166 0.853 Se
0.166 0.149 0.332 Se
0.179 0.644 0.317 Se
0.317 0.359 0.179 Se
0.332 0.853 0.166 Se
0.356 0.821 0.641 Se
0.359 0.317 0.644 Se
0.409 0.091 0.412 Se
0.411 0.089 0.909 Se
0.412 0.588 0.409 Se
0.412 0.588 0.909 Se
0.588 0.412 0.091 Se
0.588 0.412 0.591 Se
0.589 0.911 0.091 Se
0.591 0.909 0.588 Se
0.641 0.683 0.356 Se
0.644 0.179 0.359 Se
0.668 0.147 0.834 Se
0.683 0.641 0.821 Se
0.821 0.356 0.683 Se
0.834 0.851 0.668 Se
0.851 0.834 0.147 Se
0.853 0.332 0.149 Se
0.909 0.091 0.411 Se
0.909 0.091 0.911 Se
0.909 0.591 0.412 Se
0.911 0.589 0.909 Se
```

Principal peaks in the range 2θ from 5° to 70°, sorted by position:
2θ = 15.8°, d 5.592, intensity 53; 2θ = 22.0°, d 4.039, intensity 40; 2θ = 27.2°, d 3.278, intensity 31; 2θ = 28.4°, d 3.144, intensity 71; 2θ = 31.7°, d 2.827, intensity 17; 2θ = 32.0°, d 2.796, intensity 45; 2θ = 34.6°, d 2.589, intensity 100; 2θ = 42.5°, d 2.127, intensity 19; 2θ = 47.4°, d 1.918, intensity 37; 2θ = 49.3°, d 1.848, intensity 37

=====

# 2
# TaInSe2
Computed powder diffraction line list, Cu Kα X-rays. Input: a cell relaxed with PBE.
Neutral-atom scattering factors, no anomalous dispersion.

Structure:
```
TaInSe2
1.0
3.443 0.000 0.000
-1.722 2.982 0.000
0.000 0.000 9.486
Ta In Se
1 1 2
direct
0.000 0.000 0.000 Ta
0.333 0.667 0.500 In
0.333 0.667 0.178 Se
0.333 0.667 0.822 Se
```

Principal peaks in the range 2θ from 5° to 70°, sorted by position:
2θ = 9.3°, d 9.486, intensity 65; 2θ = 18.7°, d 4.743, intensity 32; 2θ = 30.0°, d 2.982, intensity 47; 2θ = 31.4°, d 2.845, intensity 59; 2θ = 35.6°, d 2.524, intensity 29; 2θ = 41.6°, d 2.169, intensity 100; 2θ = 53.2°, d 1.722, intensity 32; 2θ = 56.9°, d 1.618, intensity 10; 2θ = 67.2°, d 1.393, intensity 10; 2θ = 69.7°, d 1.349, intensity 21

=====

# 3
# TaInSe2
Computed powder diffraction line list, Cu Kα X-rays. Input: a cell relaxed with PBE.
Neutral-atom scattering factors, no anomalous dispersion.

Structure:
```
TaInSe2
1.0
3.485 0.000 0.000
-1.743 3.018 0.000
0.000 0.000 8.797
Ta In Se
1 1 2
direct
0.000 0.000 0.000 Ta
0.000 0.000 0.500 In
0.667 0.333 0.190 Se
0.667 0.333 0.810 Se
```

Principal peaks in the range 2θ from 5° to 70°, sorted by position:
2θ = 10.1°, d 8.797, intensity 35; 2θ = 20.2°, d 4.399, intensity 17; 2θ = 29.6°, d 3.018, intensity 41; 2θ = 36.1°, d 2.489, intensity 100; 2θ = 41.0°, d 2.199, intensity 8; 2θ = 43.0°, d 2.103, intensity 15; 2θ = 51.4°, d 1.778, intensity 23; 2θ = 52.5°, d 1.743, intensity 26; 2θ = 65.4°, d 1.428, intensity 17; 2θ = 68.7°, d 1.366, intensity 10

=====

# 4
# TlIn5Se8
Computed powder diffraction line list, Cu Kα X-rays. Input: a cell relaxed with PBE.
Neutral-atom scattering factors, no anomalous dispersion.

Structure:
```
TlIn5Se8
1.0
10.178 -2.035 0.000
10.178 2.035 0.000
-1.883 0.000 9.733
Tl In Se
1 5 8
direct
0.000 0.000 0.000 Tl
0.137 0.137 0.387 In
0.222 0.222 0.839 In
0.500 0.500 0.500 In
0.778 0.778 0.161 In
0.863 0.863 0.613 In
0.087 0.087 0.615 Se
0.258 0.258 0.344 Se
0.336 0.336 0.033 Se
0.438 0.438 0.733 Se
0.562 0.562 0.267 Se
0.664 0.664 0.967 Se
0.742 0.742 0.656 Se
0.913 0.913 0.385 Se
```

Principal peaks in the range 2θ from 5° to 70°, sorted by position:
2θ = 18.4°, d 4.834, intensity 57; 2θ = 21.8°, d 4.081, intensity 51; 2θ = 26.4°, d 3.378, intensity 44; 2θ = 28.1°, d 3.173, intensity 96; 2θ = 29.5°, d 3.029, intensity 99; 2θ = 30.1°, d 2.969, intensity 82; 2θ = 33.9°, d 2.642, intensity 100; 2θ = 36.0°, d 2.497, intensity 43; 2θ = 44.5°, d 2.035, intensity 58; 2θ = 45.9°, d 1.976, intensity 54